(1)
For Pa2B5Os, a crystal structure in Alexandria, relaxed with GGA-PBE gives the computed PXRD pattern in this record (λ = 1.5418 Å (Cu Kα)).
Neutral-atom scattering factors, no anomalous dispersion.

Crystal structure
```
Pa2B5Os
1.0
-2.549 2.549 3.833
2.549 -2.549 3.833
2.549 2.549 -3.833
Pa B Os
2 5 1
Direct
0.000 0.500 0.500 Pa
0.500 0.000 0.500 Pa
0.081 0.081 0.643 B
0.081 0.439 0.000 B
0.426 0.426 0.000 B
0.439 0.081 0.000 B
0.439 0.439 0.357 B
0.733 0.733 0.000 Os
```

The 12 most intense peaks (2θ = 10–80°), sorted by position:
- 2θ 20.93, intensity 23.1
- 2θ 23.21, intensity 9.1
- 2θ 24.70, intensity 17.2
- 2θ 34.15, intensity 100.0
- 2θ 35.21, intensity 44.7
- 2θ 41.32, intensity 10.9
- 2θ 42.60, intensity 11.9
- 2θ 47.44, intensity 10.6
- 2θ 50.65, intensity 17.9
- 2θ 60.43, intensity 18.4
- 2θ 62.50, intensity 34.5
- 2θ 71.91, intensity 12.0

***

(2)
For Pm2Si2BOs2, a crystal structure in Alexandria, relaxed with GGA-PBE gives the computed PXRD pattern in this record (λ = 1.5418 Å (Cu Kα)).
Neutral-atom scattering factors, no anomalous dispersion.

Crystal structure
```
Pm2Si2BOs2
1.0
5.514 -2.104 0.000
5.514 2.104 0.000
-4.473 0.000 5.539
Pm Si B Os
2 2 1 2
Direct
0.066 0.066 0.329 Pm
0.934 0.934 0.671 Pm
0.341 0.341 0.897 Si
0.659 0.659 0.103 Si
0.500 0.500 0.500 B
0.289 0.289 0.182 Os
0.711 0.711 0.818 Os
```

The 12 most intense peaks (2θ = 10–80°), sorted by position:
- 2θ 16.36, intensity 27.6
- 2θ 24.57, intensity 27.3
- 2θ 32.16, intensity 98.0
- 2θ 32.32, intensity 20.3
- 2θ 34.04, intensity 40.3
- 2θ 34.80, intensity 100.0
- 2θ 38.04, intensity 27.8
- 2θ 39.17, intensity 29.6
- 2θ 42.98, intensity 34.5
- 2θ 55.93, intensity 20.0
- 2θ 63.06, intensity 18.9
- 2θ 73.47, intensity 20.6

***

(3)
For PrB3Os2, a crystal structure in Alexandria, relaxed with GGA-PBE gives the computed PXRD pattern in this record (λ = 1.5418 Å (Cu Kα)).
Neutral-atom scattering factors, no anomalous dispersion.

Crystal structure
```
PrB3Os2
1.0
-2.665 5.041 2.974
2.665 -5.041 2.974
2.665 5.041 -2.974
Pr B Os
2 6 4
Direct
0.394 0.144 0.250 Pr
0.606 0.856 0.750 Pr
0.000 0.000 0.500 B
0.000 0.168 0.168 B
0.000 0.500 0.000 B
0.000 0.832 0.832 B
0.500 0.168 0.668 B
0.500 0.832 0.332 B
0.105 0.690 0.415 Os
0.224 0.310 0.915 Os
0.776 0.690 0.085 Os
0.895 0.310 0.585 Os
```

The 12 most intense peaks (2θ = 10–80°), sorted by position:
- 2θ 28.62, intensity 24.2
- 2θ 30.05, intensity 22.9
- 2θ 30.55, intensity 100.0
- 2θ 33.63, intensity 47.7
- 2θ 35.70, intensity 47.2
- 2θ 45.72, intensity 15.6
- 2θ 46.07, intensity 70.0
- 2θ 52.49, intensity 19.3
- 2θ 54.62, intensity 12.6
- 2θ 62.06, intensity 12.5
- 2θ 65.69, intensity 14.9
- 2θ 78.95, intensity 13.8

***

(4)
For Pr2B4Os3, a crystal structure in Alexandria, relaxed with GGA-PBE gives the computed PXRD pattern in this record (λ = 1.5418 Å (Cu Kα)).
Neutral-atom scattering factors, no anomalous dispersion.

Crystal structure
```
Pr2B4Os3
1.0
0.000 4.767 5.411
2.828 0.000 5.411
2.828 4.767 0.000
Pr B Os
2 4 3
Direct
0.156 0.156 0.844 Pr
0.844 0.844 0.156 Pr
0.198 0.545 0.455 B
0.455 0.802 0.198 B
0.545 0.198 0.802 B
0.802 0.455 0.545 B
0.000 0.000 0.500 Os
0.500 0.500 0.000 Os
0.500 0.500 0.500 Os
```

The 12 most intense peaks (2θ = 10–80°), sorted by position:
- 2θ 16.38, intensity 100.0
- 2θ 24.89, intensity 32.5
- 2θ 30.86, intensity 90.0
- 2θ 36.95, intensity 92.5
- 2θ 37.74, intensity 44.4
- 2θ 40.67, intensity 42.8
- 2θ 41.08, intensity 48.1
- 2θ 41.39, intensity 20.3
- 2θ 50.61, intensity 19.0
- 2θ 64.30, intensity 36.6
- 2θ 64.82, intensity 17.9
- 2θ 67.62, intensity 18.4